This entry pairs a crystal structure of Ti2Mn3Co3O16 with its simulated powder XRD pattern. Radiation: Cu Kα (λ = 1.5418 Å). Structure: the PBE+U geometry in Alexandria.
Intensities are scaled so that the largest is 100.

Largest 8 diffraction maxima, low angle first, 10 to 90 degrees two-theta:
| two_theta | Rel. int. |
| --- | --- |
| 19.72 | 100 |
| 20.43 | 58 |
| 20.57 | 34 |
| 37.65 | 36 |
| 41.54 | 25 |
| 47.45 | 34 |
| 47.87 | 22 |
| 65.60 | 27 |

```
Ti2Mn3Co3O16
1.0
4.9247 -2.8565 0.0000
4.9247 2.8565 0.0000
-0.1429 0.0000 9.0032
Ti Mn Co O
2 3 3 16
direct
0.0000 0.0000 0.0000
0.6648 0.6648 0.5029
0.1657 0.1657 0.7206
0.5034 0.9983 0.2204
0.9983 0.5034 0.2204
0.1655 0.6702 0.7176
0.5024 0.5024 0.2169
0.6702 0.1655 0.7176
0.9997 0.9997 0.6097
0.0021 0.4999 0.6074
0.1665 0.1665 0.1038
0.1728 0.6637 0.1073
0.2949 0.8494 0.8386
0.3347 0.3347 0.8232
0.3364 0.3364 0.3250
0.3721 0.8093 0.3385
0.4956 0.4956 0.6111
0.4999 0.0021 0.6074
0.6637 0.1728 0.1073
0.6668 0.6668 0.1088
0.8093 0.3721 0.3385
0.8156 0.8156 0.3448
0.8494 0.2949 0.8386
0.8528 0.8528 0.8323
```